No. 1
Starting from a cell relaxed with GGA-PBE, the powder XRD pattern of LaSmIr2 was computed for Cu Kα X-rays.

Main lines, by angle (5 to 70 degrees two-theta):
two_theta, Rel. int.
25.0, 2
35.7, 100
44.1, 1
51.4, 18
58.0, 1
64.1, 37

Structural model:
Lattice parameters (Å, degrees): 7.114 7.114 7.114 90.00 90.00 90.00
Sites, in units of the cell vectors:
1 La 0.000 0.000 0.000
2 La 0.000 0.500 0.500
3 La 0.500 0.000 0.500
4 La 0.500 0.500 0.000
5 Sm 0.000 0.000 0.500
6 Sm 0.000 0.500 0.000
7 Sm 0.500 0.000 0.000
8 Sm 0.500 0.500 0.500
9 Ir 0.250 0.250 0.250
10 Ir 0.250 0.250 0.750
11 Ir 0.250 0.750 0.250
12 Ir 0.250 0.750 0.750
13 Ir 0.750 0.250 0.250
14 Ir 0.750 0.250 0.750
15 Ir 0.750 0.750 0.250
16 Ir 0.750 0.750 0.750

***

No. 2
Starting from a cell relaxed with GGA-PBE, the powder XRD pattern of LiBi3I2O4 was computed for Cu Kα X-rays.

Main lines, by angle (5 to 70 degrees two-theta):
two_theta, Rel. int.
13.2, 11
29.9, 100
31.7, 37
45.4, 19
52.1, 24
55.3, 36
62.2, 11
66.8, 11

Structural model:
Lattice parameters (Å, degrees): 5.651 7.297 7.297 45.59 90.00 90.00
Sites, in units of the cell vectors:
1 Li 0.000 0.000 0.000
2 Bi 0.000 0.628 0.628
3 Bi 0.500 0.125 0.125
4 Bi 0.500 0.459 0.459
5 I 0.000 0.286 0.286
6 I 0.500 0.794 0.794
7 O 0.253 0.297 0.790
8 O 0.253 0.790 0.297
9 O 0.747 0.297 0.790
10 O 0.747 0.790 0.297

***

No. 3
Starting from a cell relaxed with GGA-PBE, the powder XRD pattern of NiRuS4 was computed for Cu Kα X-rays.

Main lines, by angle (5 to 70 degrees two-theta):
two_theta, Rel. int.
27.3, 86
27.5, 80
31.5, 100
31.6, 95
32.0, 94
45.3, 83
45.6, 54
53.8, 90

Structural model:
Lattice parameters (Å, degrees): 5.595 5.656 5.675 90.00 90.64 90.00
Sites, in units of the cell vectors:
1 Ni 0.000 0.000 0.000
2 Ni 0.000 0.500 0.500
3 Ru 0.500 0.000 0.500
4 Ru 0.500 0.500 0.000
5 S 0.108 0.110 0.604
6 S 0.108 0.390 0.104
7 S 0.390 0.611 0.611
8 S 0.390 0.889 0.111
9 S 0.610 0.111 0.889
10 S 0.610 0.389 0.389
11 S 0.892 0.610 0.896
12 S 0.892 0.890 0.396

***

- Number 1 is which compound?
  LaSmIr2